(1)
Theoretical powder XRD pattern of Na2MgOsS4 for Cu Kα (weighted mean of Kα1 and Kα2), from the PBE geometry in OQMD.
No peak broadening, texture or thermal motion is included.

Largest 10 diffraction maxima, low angle first, 10° ≤ 2θ ≤ 80°:
2θ = 16.70°, I 100
2θ = 19.01°, I 15
2θ = 19.45°, I 28
2θ = 27.33°, I 76
2θ = 32.47°, I 25
2θ = 39.49°, I 21
2θ = 42.73°, I 19
2θ = 48.12°, I 26
2θ = 48.69°, I 27
2θ = 52.01°, I 15

```
Na2MgOsS4
1.0
9.126 0.000 0.000
0.000 9.335 0.000
-4.562 0.000 4.566
Na Mg Os S
4 2 2 8
Cartesian
0.000 0.000 0.000
-2.281 2.327 2.283
4.563 4.667 0.000
2.282 6.995 2.283
-2.281 7.001 2.283
2.282 2.333 2.283
0.000 4.665 0.000
4.563 9.333 0.000
-2.640 5.799 4.389
0.175 3.534 1.924
-0.175 8.201 2.642
2.640 1.132 0.177
1.923 1.132 4.389
4.738 8.201 1.924
4.388 3.534 2.642
7.203 5.799 0.177
```

=====

(2)
Theoretical powder XRD pattern of NaMgZrS3 for Cu Kα (weighted mean of Kα1 and Kα2), from the PBE geometry in OQMD.
No peak broadening, texture or thermal motion is included.

Largest 10 diffraction maxima, low angle first, 10° ≤ 2θ ≤ 80°:
2θ = 13.29°, I 100
2θ = 17.33°, I 18
2θ = 21.90°, I 26
2θ = 30.84°, I 40
2θ = 32.09°, I 31
2θ = 35.07°, I 28
2θ = 35.59°, I 64
2θ = 44.48°, I 18
2θ = 45.08°, I 38
2θ = 47.51°, I 18

```
NaMgZrS3
1.0
1.914 -6.661 0.000
1.914 6.661 0.000
0.000 0.000 10.235
Na Mg Zr S
2 2 2 6
Cartesian
1.914 3.410 7.676
1.914 -3.410 2.559
1.914 6.194 2.559
1.914 -6.194 7.676
1.914 0.000 0.000
1.914 0.000 5.117
1.914 4.911 0.558
1.914 4.911 4.560
1.914 1.000 2.559
1.914 -1.000 7.676
1.914 -4.911 5.675
1.914 -4.911 9.677
```

=====

(3)
Theoretical powder XRD pattern of MgNb for Cu Kα (weighted mean of Kα1 and Kα2), from the PBE geometry in OQMD.
No peak broadening, texture or thermal motion is included.

Largest 10 diffraction maxima, low angle first, 10° ≤ 2θ ≤ 80°:
2θ = 11.63°, I 59
2θ = 20.47°, I 26
2θ = 35.55°, I 11
2θ = 36.70°, I 100
2θ = 39.83°, I 43
2θ = 41.63°, I 10
2θ = 45.65°, I 15
2θ = 57.59°, I 14
2θ = 63.94°, I 15
2θ = 70.26°, I 28

```
MgNb
1.0
4.527 0.000 0.000
0.000 4.527 0.000
0.000 0.000 15.212
Mg Nb
8 8
Cartesian
0.000 0.000 1.915
0.000 0.000 13.298
0.000 2.263 3.803
0.000 2.263 11.409
2.263 0.000 3.803
2.263 0.000 11.409
2.263 2.263 5.691
2.263 2.263 9.521
0.000 0.000 5.961
0.000 0.000 9.251
0.000 2.263 0.000
0.000 2.263 7.606
2.263 0.000 0.000
2.263 0.000 7.606
2.263 2.263 1.645
2.263 2.263 13.567
```

=====

(4)
Theoretical powder XRD pattern of Mg2Nb3 for Cu Kα (weighted mean of Kα1 and Kα2), from the PBE geometry in OQMD.
No peak broadening, texture or thermal motion is included.

Largest 10 diffraction maxima, low angle first, 10° ≤ 2θ ≤ 80°:
2θ = 18.90°, I 96
2θ = 27.71°, I 34
2θ = 31.40°, I 100
2θ = 35.14°, I 62
2θ = 40.58°, I 95
2θ = 41.90°, I 43
2θ = 46.88°, I 33
2θ = 50.36°, I 50
2θ = 58.91°, I 32
2θ = 63.83°, I 22

```
Mg2Nb3
1.0
3.432 1.981 5.107
-3.432 1.981 5.107
0.000 -3.963 5.107
Mg Nb
4 6
Cartesian
0.000 0.000 1.327
0.000 0.000 6.334
0.000 0.000 8.988
0.000 0.000 13.995
-0.749 -1.297 3.831
-0.749 1.297 3.831
1.497 0.000 3.831
-1.497 0.000 11.492
0.749 -1.297 11.492
0.749 1.297 11.492
```